No. 1
Calculated powder X-ray diffraction pattern of Ac2Nd8Tm for Cu Kα, from a cell relaxed with GGA-PBE.
Peak positions follow from Bragg's law for the DFT cell and can differ from measured ones.

abc: 8.179 8.179 8.144
angles: 103.48 103.48 50.67
Positions (direct):
1 Ac 0.173 0.173 0.254
2 Ac 0.827 0.827 0.746
3 Nd 0.195 0.666 0.144
4 Nd 0.257 0.257 0.807
5 Nd 0.334 0.805 0.856
6 Nd 0.394 0.394 0.529
7 Nd 0.606 0.606 0.471
8 Nd 0.666 0.195 0.144
9 Nd 0.743 0.743 0.193
10 Nd 0.805 0.334 0.856
11 Tm 0.000 0.000 0.500

Main lines, in order of rising 2θ (2θ from 10° to 90°):
24.57 deg, intensity 27; 27.90 deg, intensity 36; 28.43 deg, intensity 100; 28.59 deg, intensity 43; 30.03 deg, intensity 29; 31.84 deg, intensity 89; 33.05 deg, intensity 46; 34.19 deg, intensity 28; 34.44 deg, intensity 50; 50.77 deg, intensity 26

***

No. 2
Calculated powder X-ray diffraction pattern of Nd3TmPb2C for Cu Kα, from a cell relaxed with GGA-PBE.
Peak positions follow from Bragg's law for the DFT cell and can differ from measured ones.

abc: 9.041 9.041 9.041
angles: 149.04 147.79 45.29
Positions (direct):
1 Nd 0.000 0.000 0.000
2 Nd 0.341 0.841 0.500
3 Nd 0.659 0.159 0.500
4 Tm 0.500 0.500 0.000
5 Pb 0.140 0.640 0.500
6 Pb 0.860 0.360 0.500
7 C 0.500 0.000 0.500

Main lines, in order of rising 2θ (2θ from 10° to 90°):
25.61 deg, intensity 21; 27.79 deg, intensity 53; 32.19 deg, intensity 29; 33.55 deg, intensity 100; 35.80 deg, intensity 29; 37.26 deg, intensity 26; 50.04 deg, intensity 17; 52.63 deg, intensity 20; 61.65 deg, intensity 18; 62.90 deg, intensity 17

***

No. 3
Calculated powder X-ray diffraction pattern of PuGe3Rh3 for Cu Kα, from a cell relaxed with GGA-PBE.
Peak positions follow from Bragg's law for the DFT cell and can differ from measured ones.

abc: 6.712 6.712 6.712
angles: 90.00 90.00 90.00
Positions (direct):
1 Pu 0.000 0.000 0.000
2 Pu 0.500 0.500 0.500
3 Ge 0.000 0.250 0.500
4 Ge 0.000 0.750 0.500
5 Ge 0.250 0.500 0.000
6 Ge 0.500 0.000 0.250
7 Ge 0.500 0.000 0.750
8 Ge 0.750 0.500 0.000
9 Rh 0.000 0.500 0.250
10 Rh 0.000 0.500 0.750
11 Rh 0.250 0.000 0.500
12 Rh 0.500 0.250 0.000
13 Rh 0.500 0.750 0.000
14 Rh 0.750 0.000 0.500

Main lines, in order of rising 2θ (2θ from 10° to 90°):
26.56 deg, intensity 43; 32.68 deg, intensity 100; 46.89 deg, intensity 7; 50.91 deg, intensity 58; 54.70 deg, intensity 20; 61.82 deg, intensity 16; 65.20 deg, intensity 14; 77.97 deg, intensity 17; 81.05 deg, intensity 13; 87.13 deg, intensity 8